Computed X-ray powder pattern
Compound: TaPS2O
Radiation: Cu Kα (λ = 1.5418 Å)
Structure: DFT lattice parameters and positions (GGA-PBE)
Intensities are scaled so that the largest is 100.

Atomic structure:
Cell lengths 4.289, 4.289, 3.831 Å; angles 90.00, 90.00, 90.00 degrees
Positions (direct):
Ta  0.000  0.000  0.000
P  0.500  0.500  0.000
S  0.000  0.500  0.500
S  0.500  0.000  0.500
O  0.500  0.500  0.500

Most intense lines, 2θ = 10–90°, sorted by position:
hkl 1 0 0, 2θ = 20.71°, rel. 55.4
hkl 0 0 1, 2θ = 23.22°, rel. 19.6
hkl 1 1 0, 2θ = 29.45°, rel. 37.1
hkl 1 0 1, 2θ = 31.31°, rel. 67.6
hkl 1 1 1, 2θ = 37.83°, rel. 100.0
hkl 2 0 0, 2θ = 42.14°, rel. 46.3
hkl 0 0 2, 2θ = 47.43°, rel. 30.7
hkl 2 1 1, 2θ = 53.42°, rel. 30.3
hkl 2 0 2, 2θ = 65.31°, rel. 27.1
hkl 3 1 1, 2θ = 74.17°, rel. 29.1

Computed X-ray powder pattern
Compound: KNaAg2Br5
Radiation: Cu Kα (λ = 1.5418 Å)
Structure: DFT lattice parameters and positions (GGA-PBE)
Intensities are scaled so that the largest is 100.

Atomic structure:
Cell lengths 5.255, 5.255, 10.408 Å; angles 90.00, 90.00, 90.00 degrees
Positions (direct):
K  0.000  0.000  0.000
Na  0.000  0.000  0.500
Ag  0.500  0.500  0.273
Ag  0.500  0.500  0.727
Br  0.000  0.500  0.315
Br  0.000  0.500  0.685
Br  0.500  0.000  0.315
Br  0.500  0.000  0.685
Br  0.500  0.500  0.000

Most intense lines, 2θ = 10–90°, sorted by position:
hkl 1 0 0, 2θ = 16.87°, rel. 67.4
hkl 0 0 2, 2θ = 17.04°, rel. 49.1
hkl 1 0 2, 2θ = 24.07°, rel. 40.5
hkl 1 1 1, 2θ = 25.45°, rel. 34.4
hkl 0 0 3, 2θ = 25.68°, rel. 54.5
hkl 2 0 0, 2θ = 34.12°, rel. 100.0
hkl 2 0 2, 2θ = 38.35°, rel. 42.8
hkl 1 1 4, 2θ = 42.41°, rel. 27.3
hkl 2 0 3, 2θ = 43.19°, rel. 51.7
hkl 2 2 0, 2θ = 49.03°, rel. 34.5